Starting from the PBE geometry in Alexandria, the X-ray diffraction stick pattern of MgPb2Cl4 was simulated for Cu Kα, 1.54184 Å.
Neutral-atom scattering factors, no anomalous dispersion.

Top 6 peaks for 15° ≤ 2θ ≤ 90°, by intensity:
32.5 deg, d = 2.751 Å, I 100, hkl 2 1 1
33.0 deg, d = 2.711 Å, I 64, hkl 3 2 0
20.6 deg, d = 4.303 Å, I 60, hkl 2 1 0
18.8 deg, d = 4.730 Å, I 59, hkl 1 2 0
27.9 deg, d = 3.197 Å, I 58, hkl 1 1 1
24.9 deg, d = 3.578 Å, I 51, hkl 0 0 1

Structural model:
```
data_MgPb2Cl4
_symmetry_space_group_name_H-M 'P b a m'
_symmetry_Int_Tables_number 55
_symmetry_space_group_name_Hall '-P 2 2ab'
_cell_length_a 9.3563
_cell_length_b 10.9644
_cell_length_c 3.5777
_cell_angle_alpha 90.00
_cell_angle_beta 90.00
_cell_angle_gamma 90.00
loop_
_atom_site_label
_atom_site_type_symbol
_atom_site_fract_x
_atom_site_fract_y
_atom_site_fract_z
Mg1 Mg 0.0000 0.0000 0.0000
Pb1 Pb 0.0975 0.3680 0.5000
Cl1 Cl 0.1002 0.7868 0.0000
Cl2 Cl 0.1748 0.0588 0.5000
```